No. 1
Starting from a cell relaxed with PBE, the powder X-ray diffraction pattern of SrAlRe3 was computed for Cu Kα (weighted mean of Kα1 and Kα2).

Most intense lines, 2θ from 10° to 90°, by angle:
2θ 19.03, 4.665 Å, I 12; 2θ 33.27, 2.693 Å, I 100; 2θ 38.60, 2.332 Å, I 59; 2θ 55.74, 1.649 Å, I 41; 2θ 66.48, 1.406 Å, I 41; 2θ 69.85, 1.347 Å, I 14

Structure:
Unit cell a=4.665 b=4.665 c=4.665 alpha=90.00 beta=90.00 gamma=90.00
Fractional positions:
Sr 0.000 0.000 0.000
Al 0.500 0.500 0.500
Re 0.000 0.500 0.500
Re 0.500 0.000 0.500
Re 0.500 0.500 0.000

***

No. 2
Starting from a cell relaxed with PBE, the powder X-ray diffraction pattern of SmAlFe was computed for Cu Kα (weighted mean of Kα1 and Kα2).

Most intense lines, 2θ from 10° to 90°, by angle:
2θ 23.74, 3.748 Å, I 37; 2θ 33.30, 2.691 Å, I 100; 2θ 41.74, 2.164 Å, I 39; 2θ 54.41, 1.686 Å, I 24; 2θ 64.67, 1.441 Å, I 21; 2θ 70.84, 1.330 Å, I 22

Structure:
Unit cell a=4.328 b=4.328 c=3.865 alpha=90.00 beta=90.00 gamma=120.00
Fractional positions:
Sm 0.000 0.000 0.000
Al 0.333 0.667 0.500
Fe 0.667 0.333 0.500

***

No. 3
Starting from a cell relaxed with PBE, the powder X-ray diffraction pattern of Sm2Tm2Hg3 was computed for Cu Kα (weighted mean of Kα1 and Kα2).

Most intense lines, 2θ from 10° to 90°, by angle:
2θ 34.41, 2.606 Å, I 100; 2θ 34.65, 2.589 Å, I 99; 2θ 49.63, 1.837 Å, I 36; 2θ 61.48, 1.508 Å, I 19; 2θ 61.95, 1.498 Å, I 37; 2θ 62.10, 1.495 Å, I 19

Structure:
Unit cell a=9.050 b=9.050 c=9.050 alpha=33.24 beta=33.24 gamma=33.24
Fractional positions:
Sm 0.127 0.127 0.127
Sm 0.873 0.873 0.873
Tm 0.377 0.377 0.377
Tm 0.623 0.623 0.623
Hg 0.000 0.000 0.000
Hg 0.252 0.252 0.252
Hg 0.748 0.748 0.748

***

No. 4
Starting from a cell relaxed with PBE, the powder X-ray diffraction pattern of La2Pm5Sm was computed for Cu Kα (weighted mean of Kα1 and Kα2).

Most intense lines, 2θ from 10° to 90°, by angle:
2θ 28.70, 3.110 Å, I 38; 2θ 29.57, 3.021 Å, I 36; 2θ 29.85, 2.993 Å, I 14; 2θ 30.41, 2.939 Å, I 100; 2θ 30.60, 2.922 Å, I 74; 2θ 59.45, 1.555 Å, I 13

Structure:
Unit cell a=9.714 b=9.714 c=6.721 alpha=97.67 beta=97.67 gamma=63.37
Fractional positions:
La 0.175 0.675 0.893
La 0.325 0.825 0.607
La 0.675 0.175 0.393
La 0.825 0.325 0.107
Pm 0.067 0.933 0.250
Pm 0.105 0.289 0.525
Pm 0.289 0.105 0.025
Pm 0.319 0.479 0.349
Pm 0.479 0.319 0.849
Pm 0.521 0.681 0.151
Pm 0.681 0.521 0.651
Pm 0.711 0.895 0.975
Pm 0.895 0.711 0.475
Pm 0.933 0.067 0.750
Sm 0.000 0.500 0.000
Sm 0.500 0.000 0.500

***

No. 5
Starting from a cell relaxed with PBE, the powder X-ray diffraction pattern of Ba4In2Hg was computed for Cu Kα (weighted mean of Kα1 and Kα2).

Most intense lines, 2θ from 10° to 90°, by angle:
2θ 29.68, 3.010 Å, I 100; 2θ 42.47, 2.128 Å, I 19; 2θ 52.67, 1.738 Å, I 40; 2θ 61.63, 1.505 Å, I 12; 2θ 69.88, 1.346 Å, I 17; 2θ 85.30, 1.138 Å, I 15

Structure:
Unit cell a=10.420 b=10.420 c=10.420 alpha=33.59 beta=33.59 gamma=33.59
Fractional positions:
Ba 0.124 0.124 0.124
Ba 0.374 0.374 0.374
Ba 0.626 0.626 0.626
Ba 0.876 0.876 0.876
In 0.249 0.249 0.249
In 0.751 0.751 0.751
Hg 0.000 0.000 0.000

***

No. 6
Starting from a cell relaxed with PBE, the powder X-ray diffraction pattern of Na2B29 was computed for Cu Kα (weighted mean of Kα1 and Kα2).

Most intense lines, 2θ from 10° to 90°, by angle:
2θ 25.41, 3.506 Å, I 50; 2θ 35.41, 2.535 Å, I 100; 2θ 37.22, 2.416 Å, I 46; 2θ 40.00, 2.254 Å, I 84; 2θ 42.07, 2.148 Å, I 43; 2θ 70.70, 1.333 Å, I 40

Structure:
Unit cell a=7.248 b=7.248 c=7.248 alpha=132.70 beta=88.93 gamma=109.91
Fractional positions:
Na 0.000 0.000 0.000
Na 0.804 0.304 0.500
B 0.020 0.662 0.035
B 0.020 0.985 0.358
B 0.030 0.453 0.083
B 0.030 0.948 0.577
B 0.039 0.623 0.416
B 0.171 0.824 0.347
B 0.174 0.274 0.900
B 0.192 0.335 0.536
B 0.192 0.656 0.857
B 0.207 0.623 0.584
B 0.347 0.501 0.845
B 0.371 0.453 0.423
B 0.371 0.948 0.917
B 0.374 0.274 0.100
B 0.398 0.026 0.372
B 0.420 0.420 0.000
B 0.450 0.372 0.583
B 0.450 0.867 0.078
B 0.477 0.824 0.653
B 0.615 0.699 0.916
B 0.627 0.662 0.642
B 0.627 0.985 0.965
B 0.655 0.026 0.628
B 0.656 0.501 0.155
B 0.783 0.699 0.084
B 0.789 0.372 0.922
B 0.789 0.867 0.417
B 0.799 0.335 0.143
B 0.799 0.656 0.464

***

No. 7
Starting from a cell relaxed with PBE, the powder X-ray diffraction pattern of RbSrRuO6 was computed for Cu Kα (weighted mean of Kα1 and Kα2).

Most intense lines, 2θ from 10° to 90°, by angle:
2θ 25.21, 3.533 Å, I 91; 2θ 26.42, 3.373 Å, I 100; 2θ 28.50, 3.132 Å, I 99; 2θ 28.68, 3.113 Å, I 67; 2θ 31.69, 2.823 Å, I 70; 2θ 36.38, 2.470 Å, I 74

Structure:
Unit cell a=4.499 b=5.681 c=5.912 alpha=65.43 beta=79.13 gamma=85.99
Fractional positions:
Rb 0.000 0.000 0.000
Sr 0.432 0.348 0.350
Ru 0.728 0.644 0.701
O 0.147 0.908 0.483
O 0.411 0.795 0.396
O 0.433 0.399 0.874
O 0.592 0.948 0.703
O 0.891 0.533 0.988
O 0.906 0.490 0.495

***

No. 8
Starting from a cell relaxed with PBE, the powder X-ray diffraction pattern of MgSnHgBi was computed for Cu Kα (weighted mean of Kα1 and Kα2).

Most intense lines, 2θ from 10° to 90°, by angle:
2θ 23.52, 3.782 Å, I 26; 2θ 33.50, 2.675 Å, I 100; 2θ 48.11, 1.891 Å, I 18; 2θ 59.90, 1.544 Å, I 39; 2θ 70.41, 1.337 Å, I 12; 2θ 80.26, 1.196 Å, I 17

Structure:
Unit cell a=5.349 b=5.349 c=5.349 alpha=60.00 beta=60.00 gamma=60.00
Fractional positions:
Mg 0.000 0.000 0.000
Sn 0.500 0.500 0.500
Hg 0.250 0.250 0.250
Bi 0.750 0.750 0.750

***

No. 9
Starting from a cell relaxed with PBE, the powder X-ray diffraction pattern of InCu2HgAs was computed for Cu Kα (weighted mean of Kα1 and Kα2).

Most intense lines, 2θ from 10° to 90°, by angle:
2θ 19.61, 4.528 Å, I 29; 2θ 27.86, 3.202 Å, I 32; 2θ 30.62, 2.920 Å, I 55; 2θ 31.88, 2.808 Å, I 100; 2θ 39.82, 2.264 Å, I 54; 2θ 51.05, 1.789 Å, I 52

Structure:
Unit cell a=4.528 b=4.528 c=5.840 alpha=90.00 beta=90.00 gamma=90.00
Fractional positions:
In 0.000 0.000 0.000
Cu 0.000 0.500 0.500
Cu 0.500 0.000 0.500
Hg 0.500 0.500 0.000
As 0.500 0.500 0.500

***

No. 10
Starting from a cell relaxed with PBE, the powder X-ray diffraction pattern of Na2PaFe2N4 was computed for Cu Kα (weighted mean of Kα1 and Kα2).

Most intense lines, 2θ from 10° to 90°, by angle:
2θ 13.36, 6.626 Å, I 25; 2θ 15.97, 5.549 Å, I 100; 2θ 32.27, 2.774 Å, I 20; 2θ 33.68, 2.661 Å, I 35; 2θ 34.48, 2.601 Å, I 22; 2θ 36.75, 2.446 Å, I 31

Structure:
Unit cell a=5.824 b=5.824 c=8.321 alpha=125.32 beta=125.32 gamma=34.22
Fractional positions:
Na 0.145 0.145 0.247
Na 0.855 0.855 0.753
Pa 0.000 0.000 0.500
Fe 0.340 0.340 0.114
Fe 0.660 0.660 0.886
N 0.214 0.214 0.839
N 0.456 0.456 0.634
N 0.544 0.544 0.366
N 0.786 0.786 0.161

***

No. 11
Starting from a cell relaxed with PBE, the powder X-ray diffraction pattern of Cd5Hg3 was computed for Cu Kα (weighted mean of Kα1 and Kα2).

Most intense lines, 2θ from 10° to 90°, by angle:
2θ 32.27, 2.774 Å, I 32; 2θ 33.62, 2.666 Å, I 100; 2θ 34.53, 2.597 Å, I 89; 2θ 34.76, 2.581 Å, I 49; 2θ 34.93, 2.568 Å, I 42; 2θ 36.33, 2.473 Å, I 66

Structure:
Unit cell a=8.627 b=8.627 c=8.461 alpha=95.08 beta=95.08 gamma=140.40
Fractional positions:
Cd 0.056 0.715 0.805
Cd 0.179 0.374 0.661
Cd 0.239 0.239 0.979
Cd 0.285 0.944 0.195
Cd 0.374 0.179 0.661
Cd 0.626 0.821 0.339
Cd 0.715 0.056 0.805
Cd 0.761 0.761 0.021
Cd 0.821 0.626 0.339
Cd 0.944 0.285 0.195
Hg 0.235 0.235 0.346
Hg 0.268 0.732 0.500
Hg 0.328 0.672 0.000
Hg 0.672 0.328 0.000
Hg 0.732 0.268 0.500
Hg 0.765 0.765 0.654

***

No. 12
Starting from a cell relaxed with PBE, the powder X-ray diffraction pattern of Sm2PbSe4 was computed for Cu Kα (weighted mean of Kα1 and Kα2).

Most intense lines, 2θ from 10° to 90°, by angle:
2θ 23.54, 3.779 Å, I 100; 2θ 25.12, 3.545 Å, I 52; 2θ 28.43, 3.139 Å, I 76; 2θ 34.70, 2.585 Å, I 86; 2θ 42.36, 2.134 Å, I 57; 2θ 42.88, 2.109 Å, I 51

Structure:
Unit cell a=13.095 b=4.218 c=15.110 alpha=90.00 beta=90.00 gamma=90.00
Fractional positions:
Sm 0.062 0.250 0.116
Sm 0.090 0.250 0.590
Sm 0.410 0.750 0.090
Sm 0.438 0.750 0.616
Sm 0.562 0.250 0.384
Sm 0.590 0.250 0.910
Sm 0.910 0.750 0.410
Sm 0.938 0.750 0.884
Pb 0.235 0.750 0.826
Pb 0.265 0.250 0.326
Pb 0.735 0.750 0.674
Pb 0.765 0.250 0.174
Se 0.046 0.750 0.717
Se 0.090 0.250 0.925
Se 0.126 0.750 0.460
Se 0.203 0.750 0.176
Se 0.297 0.250 0.676
Se 0.374 0.250 0.960
Se 0.410 0.750 0.425
Se 0.454 0.250 0.217
Se 0.546 0.750 0.783
Se 0.590 0.250 0.575
Se 0.626 0.750 0.040
Se 0.703 0.750 0.324
Se 0.797 0.250 0.824
Se 0.874 0.250 0.540
Se 0.910 0.750 0.075
Se 0.954 0.250 0.283

***

No. 13
Starting from a cell relaxed with PBE, the powder X-ray diffraction pattern of Na5B7C3 was computed for Cu Kα (weighted mean of Kα1 and Kα2).

Most intense lines, 2θ from 10° to 90°, by angle:
2θ 36.21, 2.481 Å, I 17; 2θ 41.04, 2.199 Å, I 50; 2θ 42.09, 2.147 Å, I 100; 2θ 42.19, 2.142 Å, I 38; 2θ 63.58, 1.463 Å, I 17; 2θ 77.06, 1.238 Å, I 13

Structure:
Unit cell a=11.591 b=11.591 c=9.989 alpha=107.06 beta=107.06 gamma=14.05
Fractional positions:
Na 0.000 0.000 0.000
Na 0.100 0.100 0.696
Na 0.200 0.200 0.401
Na 0.303 0.303 0.095
Na 0.399 0.399 0.801
Na 0.500 0.500 0.497
Na 0.600 0.600 0.202
Na 0.701 0.701 0.896
Na 0.799 0.799 0.599
Na 0.902 0.902 0.298
B 0.084 0.084 0.417
B 0.123 0.123 0.994
B 0.186 0.186 0.121
B 0.278 0.278 0.801
B 0.318 0.318 0.383
B 0.487 0.487 0.224
B 0.516 0.516 0.779
B 0.580 0.580 0.909
B 0.681 0.681 0.609
B 0.728 0.728 0.203
B 0.818 0.818 0.882
B 0.890 0.890 0.028
B 0.910 0.910 0.566
B 0.977 0.977 0.701
C 0.019 0.019 0.287
C 0.214 0.214 0.673
C 0.381 0.381 0.507
C 0.421 0.421 0.093
C 0.616 0.616 0.480
C 0.788 0.788 0.323